Entry 1:
This entry pairs a crystal structure of Tb3Co4Sn13 with its theoretical X-ray diffraction stick pattern. Radiation: Cu Kα X-rays. Structure: a DFT-relaxed cell (GGA-PBE, the Materials Project).

Top 10 peaks for 2θ from 10° to 90°, by angle:
| two_theta | I (rel.) |
| --- | --- |
| 33.78 | 100 |
| 35.10 | 37 |
| 37.61 | 18 |
| 38.81 | 12 |
| 46.50 | 11 |
| 56.05 | 13 |
| 59.57 | 17 |
| 64.62 | 9 |
| 68.68 | 11 |
| 71.84 | 7 |

Atomic structure:
Unit cell a=9.5666 b=9.5666 c=9.5666 alpha=90.00 beta=90.00 gamma=90.00
Fractional coordinates of all 40 atoms:
Tb 0.0000 0.2500 0.5000
Tb 0.0000 0.7500 0.5000
Tb 0.2500 0.5000 0.0000
Tb 0.5000 0.0000 0.2500
Tb 0.5000 0.0000 0.7500
Tb 0.7500 0.5000 0.0000
Co 0.2500 0.2500 0.2500
Co 0.2500 0.2500 0.7500
Co 0.2500 0.7500 0.2500
Co 0.2500 0.7500 0.7500
Co 0.7500 0.2500 0.2500
Co 0.7500 0.2500 0.7500
Co 0.7500 0.7500 0.2500
Co 0.7500 0.7500 0.7500
Sn 0.0000 0.0000 0.0000
Sn 0.0000 0.3038 0.1570
Sn 0.0000 0.3038 0.8430
Sn 0.0000 0.6962 0.1570
Sn 0.0000 0.6962 0.8430
Sn 0.1570 0.0000 0.3038
Sn 0.1570 0.0000 0.6962
Sn 0.1962 0.5000 0.3430
Sn 0.1962 0.5000 0.6570
Sn 0.3038 0.1570 0.0000
Sn 0.3038 0.8430 0.0000
Sn 0.3430 0.1962 0.5000
Sn 0.3430 0.8038 0.5000
Sn 0.5000 0.3430 0.1962
Sn 0.5000 0.3430 0.8038
Sn 0.5000 0.5000 0.5000
Sn 0.5000 0.6570 0.1962
Sn 0.5000 0.6570 0.8038
Sn 0.6570 0.1962 0.5000
Sn 0.6570 0.8038 0.5000
Sn 0.6962 0.1570 0.0000
Sn 0.6962 0.8430 0.0000
Sn 0.8038 0.5000 0.3430
Sn 0.8038 0.5000 0.6570
Sn 0.8430 0.0000 0.3038
Sn 0.8430 0.0000 0.6962

Entry 2:
This entry pairs a crystal structure of WCl2 with its theoretical X-ray diffraction stick pattern. Radiation: Cu Kα X-rays. Structure: a DFT-relaxed cell (GGA-PBE, the Materials Project).

Top 10 peaks for 2θ from 10° to 90°, by angle:
| two_theta | I (rel.) |
| --- | --- |
| 12.27 | 32 |
| 12.49 | 100 |
| 15.40 | 20 |
| 30.82 | 7 |
| 39.88 | 5 |
| 40.10 | 7 |
| 43.20 | 8 |
| 45.40 | 6 |
| 50.14 | 6 |
| 61.74 | 5 |

Atomic structure:
Unit cell a=9.2225 b=9.2225 c=11.5166 alpha=90.00 beta=90.00 gamma=77.10
Fractional coordinates of all 36 atoms:
W 0.0651 0.9349 0.8518
W 0.1294 0.1294 0.0000
W 0.1485 0.8515 0.0649
W 0.3515 0.6485 0.5649
W 0.3706 0.3706 0.5000
W 0.4349 0.5651 0.3518
W 0.5651 0.4349 0.6482
W 0.6294 0.6294 0.5000
W 0.6485 0.3515 0.4350
W 0.8515 0.1485 0.9350
W 0.8706 0.8706 0.0000
W 0.9349 0.0651 0.1482
Cl 0.0428 0.2029 0.7969
Cl 0.0804 0.6736 0.9201
Cl 0.1463 0.8537 0.6467
Cl 0.1736 0.5804 0.4201
Cl 0.2029 0.0428 0.2031
Cl 0.2044 0.2044 0.5000
Cl 0.2956 0.2956 0.0000
Cl 0.2971 0.4572 0.7031
Cl 0.3264 0.9196 0.9201
Cl 0.3537 0.6463 0.1467
Cl 0.4196 0.8264 0.4201
Cl 0.4572 0.2971 0.2969
Cl 0.5428 0.7029 0.7031
Cl 0.5804 0.1736 0.5799
Cl 0.6463 0.3537 0.8533
Cl 0.6736 0.0804 0.0799
Cl 0.7029 0.5428 0.2969
Cl 0.7044 0.7044 0.0000
Cl 0.7956 0.7956 0.5000
Cl 0.7971 0.9572 0.7969
Cl 0.8264 0.4196 0.5799
Cl 0.8537 0.1463 0.3533
Cl 0.9196 0.3264 0.0799
Cl 0.9572 0.7971 0.2031

Entry 3:
This entry pairs a crystal structure of Ni3P with its theoretical X-ray diffraction stick pattern. Radiation: Cu Kα X-rays. Structure: a DFT-relaxed cell (GGA-PBE, the Materials Project).

Top 10 peaks for 2θ from 10° to 90°, by angle:
| two_theta | I (rel.) |
| --- | --- |
| 36.50 | 23 |
| 41.90 | 100 |
| 42.96 | 24 |
| 43.79 | 52 |
| 45.41 | 34 |
| 46.79 | 89 |
| 50.76 | 17 |
| 52.21 | 18 |
| 52.94 | 29 |
| 89.61 | 20 |

Atomic structure:
Unit cell a=6.6847 b=6.6847 c=6.6847 alpha=96.15 beta=96.15 gamma=141.79
Fractional coordinates of all 16 atoms:
Ni 0.0797 0.0290 0.6084
Ni 0.1125 0.4478 0.6054
Ni 0.1471 0.3377 0.9664
Ni 0.3713 0.1807 0.0336
Ni 0.4206 0.4712 0.3916
Ni 0.4929 0.8875 0.3353
Ni 0.5288 0.9203 0.9493
Ni 0.5522 0.1576 0.6647
Ni 0.6623 0.6287 0.8094
Ni 0.8193 0.8529 0.1906
Ni 0.8424 0.5071 0.3946
Ni 0.9710 0.5794 0.0507
P 0.0636 0.7329 0.7604
P 0.2671 0.0275 0.3308
P 0.6967 0.9364 0.6692
P 0.9725 0.3033 0.2396